For Ca4Ni13C4, a PBE-relaxed structure gives the calculated X-ray powder pattern in this record (Cu Kα (λ = 1.5418 Å)).

Cell lengths 8.3694, 8.3694, 3.8981 Å; angles 90.00, 90.00, 90.60 degrees
Positions (direct):
1 Ca 0.1943 0.8057 0.0000
2 Ca 0.3511 0.3511 0.0000
3 Ca 0.6489 0.6489 0.0000
4 Ca 0.8057 0.1943 0.0000
5 Ni 0.0000 0.0000 0.5000
6 Ni 0.0000 0.5000 0.0000
7 Ni 0.0718 0.2889 0.5000
8 Ni 0.1209 0.1209 0.0000
9 Ni 0.2154 0.5694 0.5000
10 Ni 0.2889 0.0718 0.5000
11 Ni 0.4306 0.7846 0.5000
12 Ni 0.5000 0.0000 0.0000
13 Ni 0.5694 0.2154 0.5000
14 Ni 0.7111 0.9282 0.5000
15 Ni 0.7846 0.4306 0.5000
16 Ni 0.8791 0.8791 0.0000
17 Ni 0.9282 0.7111 0.5000
18 C 0.0000 0.5000 0.5000
19 C 0.4433 0.5567 0.5000
20 C 0.5000 0.0000 0.5000
21 C 0.5567 0.4433 0.5000

Most intense lines, 10° ≤ 2θ ≤ 90°, by angle:
2theta, I (rel.)
10.6, 48
33.1, 30
38.1, 62
41.1, 30
41.3, 100
44.5, 26
44.8, 24
45.3, 22
45.7, 34
46.6, 56